Entry 1:
For Cu17Te, the GGA-PBE geometry in OQMD gives the theoretical powder diffraction line list in this record (Cu Ka).
Neutral-atom scattering factors, no anomalous dispersion.

Cell and atoms:
abc: 4.3868 5.0931 31.1685
angles: 90.00 90.11 90.00
Sites, in units of the cell vectors:
Cu 0.0000 0.0000 0.0000
Cu 0.9996 0.0014 0.2016
Cu 0.9996 0.4986 0.2016
Cu 0.0000 0.5000 0.0000
Cu 0.0004 0.5014 0.7984
Cu 0.0004 0.9986 0.7984
Cu 0.1638 0.7500 0.2687
Cu 0.1649 0.2500 0.0670
Cu 0.1652 0.2500 0.8663
Cu 0.1657 0.7500 0.8654
Cu 0.1674 0.7500 0.0666
Cu 0.3328 0.5007 0.1340
Cu 0.3334 0.5013 0.9329
Cu 0.3328 0.9993 0.1340
Cu 0.3334 0.9987 0.9329
Cu 0.3346 0.5008 0.7317
Cu 0.3346 0.9992 0.7317
Cu 0.4970 0.2500 0.2004
Cu 0.4981 0.2500 0.7988
Cu 0.4991 0.2500 0.0000
Cu 0.5009 0.7500 0.0000
Cu 0.5019 0.7500 0.2012
Cu 0.5030 0.7500 0.7996
Cu 0.6654 0.0008 0.2683
Cu 0.6654 0.4992 0.2683
Cu 0.6666 0.0013 0.0671
Cu 0.6672 0.0007 0.8660
Cu 0.6666 0.4987 0.0671
Cu 0.6672 0.4993 0.8660
Cu 0.8326 0.2500 0.9334
Cu 0.8343 0.2500 0.1346
Cu 0.8348 0.7500 0.1337
Cu 0.8351 0.7500 0.9330
Cu 0.8362 0.2500 0.7313
Te 0.1669 0.2500 0.3024
Te 0.8330 0.7500 0.6976

Principal peaks in the range 10° ≤ 2θ ≤ 80°, in order of rising 2θ:
2θ (°)	I (rel.)
40.52	16
42.67	31
42.81	16
43.59	100
43.73	36
49.00	22
50.74	36
50.95	18
74.64	17
74.90	20

---

Entry 2:
For TbSm2Ge7, the GGA-PBE geometry in OQMD gives the theoretical powder diffraction line list in this record (Cu Ka).
Neutral-atom scattering factors, no anomalous dispersion.

Cell and atoms:
abc: 13.1110 13.1110 4.1355
angles: 90.00 90.00 162.45
Sites, in units of the cell vectors:
Tb 0.0000 0.0000 0.0000
Sm 0.3171 0.6829 0.5000
Sm 0.6829 0.3171 0.5000
Ge 0.0895 0.9105 0.5000
Ge 0.2187 0.7813 0.0000
Ge 0.4082 0.5918 0.0000
Ge 0.5000 0.5000 0.5000
Ge 0.5918 0.4082 0.0000
Ge 0.7813 0.2187 0.0000
Ge 0.9105 0.0895 0.5000

Principal peaks in the range 10° ≤ 2θ ≤ 80°, in order of rising 2θ:
2θ (°)	I (rel.)
24.52	13
34.61	16
35.19	10
35.71	100
43.78	17
45.34	15
64.85	10
69.83	9
75.17	11
77.42	10

---

Entry 3:
For AcTbF, the GGA-PBE geometry in OQMD gives the theoretical powder diffraction line list in this record (Cu Ka).
Neutral-atom scattering factors, no anomalous dispersion.

Cell and atoms:
abc: 3.4130 3.4130 7.0629
angles: 90.00 90.00 90.00
Sites, in units of the cell vectors:
Ac 0.0000 0.0000 0.0000
Tb 0.0000 0.0000 0.5000
F 0.5000 0.5000 0.5000

Principal peaks in the range 10° ≤ 2θ ≤ 80°, in order of rising 2θ:
2θ (°)	I (rel.)
25.22	68
26.11	100
36.62	84
37.26	49
45.52	56
58.89	22
60.23	25
60.67	20
65.50	19
66.77	31

---

Entry 4:
For Tb2TmGa3Si2Ni, the GGA-PBE geometry in OQMD gives the theoretical powder diffraction line list in this record (Cu Ka).
Neutral-atom scattering factors, no anomalous dispersion.

Cell and atoms:
abc: 4.1451 6.8563 6.8563
angles: 119.73 90.00 90.00
Sites, in units of the cell vectors:
Tb 0.0000 0.2020 0.7980
Tb 0.0000 0.7980 0.2020
Tm 0.0000 0.6049 0.6049
Ga 0.5000 0.2044 0.4393
Ga 0.5000 0.4393 0.2044
Ga 0.5000 0.9661 0.9661
Si 0.5000 0.5374 0.8659
Si 0.5000 0.8659 0.5374
Ni 0.0000 0.2067 0.2067

Principal peaks in the range 10° ≤ 2θ ≤ 80°, in order of rising 2θ:
2θ (°)	I (rel.)
21.44	16
25.99	17
33.91	100
37.19	41
37.29	22
40.02	13
40.18	25
43.67	24
60.76	15
73.12	11